Diffraction record for GeS4. The powder XRD pattern is computed, not measured: it uses a crystal structure in Alexandria, relaxed with GGA-PBE and CuKα.
Kinematic intensities with the Lorentz-polarization factor, no thermal factor.

Atomic structure:
```
data_GeS4
_cell_length_a 6.156
_cell_length_b 3.488
_cell_length_c 11.521
_cell_angle_alpha 90.00
_cell_angle_beta 91.55
_cell_angle_gamma 90.00
_symmetry_space_group_name_H-M 'C 1 2/m 1'
_symmetry_Int_Tables_number 12
loop_
_symmetry_equiv_pos_as_xyz
'x,y,z'
'-x,-y,-z'
'-x,y,-z'
'x,-y,z'
'x+1/2,y+1/2,z'
'-x+1/2,-y+1/2,-z'
'-x+1/2,y+1/2,-z'
'x+1/2,-y+1/2,z'
loop_
_atom_site_label
_atom_site_type_symbol
_atom_site_fract_x
_atom_site_fract_y
_atom_site_fract_z
Ge1 Ge 0.000 0.000 0.000
S1 S 0.172 0.500 0.120
S2 S 0.248 0.000 0.451
```

Largest 10 diffraction maxima, by intensity, 10° ≤ 2θ ≤ 80°:
2θ = 15.4°, I = 100, (0 0 2); 2θ = 33.6°, I = 44, (1 1 2); 2θ = 43.6°, I = 24, (1 1 4); 2θ = 29.9°, I = 23, (2 0 -1); 2θ = 36.9°, I = 19, (2 0 -3); 2θ = 49.4°, I = 19, (1 1 -5); 2θ = 52.5°, I = 16, (0 2 0); 2θ = 38.0°, I = 13, (2 0 3); 2θ = 37.5°, I = 12, (1 1 -3); 2θ = 30.6°, I = 10, (1 1 1)


Diffraction record for LuMg2Pb. The powder XRD pattern is computed, not measured: it uses a crystal structure in Alexandria, relaxed with GGA-PBE and CuKα.
Kinematic intensities with the Lorentz-polarization factor, no thermal factor.

Atomic structure:
```
data_LuMg2Pb
_cell_length_a 4.518
_cell_length_b 4.518
_cell_length_c 4.762
_cell_angle_alpha 90.00
_cell_angle_beta 90.00
_cell_angle_gamma 90.00
_symmetry_space_group_name_H-M 'P 4/m m m'
_symmetry_Int_Tables_number 123
_symmetry_space_group_name_Hall '-P 4 2'
loop_
_atom_site_label
_atom_site_type_symbol
_atom_site_fract_x
_atom_site_fract_y
_atom_site_fract_z
Lu1 Lu 0.000 0.000 0.000
Mg1 Mg 0.000 0.500 0.500
Pb1 Pb 0.500 0.500 0.000
```

Largest 10 diffraction maxima, by intensity, 10° ≤ 2θ ≤ 80°:
2θ = 33.8°, I = 100, (1 1 1); 2θ = 18.6°, I = 60, (0 0 1); 2θ = 27.9°, I = 47, (1 1 0); 2θ = 39.9°, I = 32, (2 0 0); 2θ = 44.4°, I = 28, (2 0 1); 2θ = 68.6°, I = 26, (3 1 1); 2θ = 56.1°, I = 24, (2 0 2); 2θ = 47.6°, I = 23, (1 1 2); 2θ = 37.8°, I = 19, (0 0 2); 2θ = 65.7°, I = 15, (1 1 3)


Diffraction record for SmCu4Au4. The powder XRD pattern is computed, not measured: it uses a crystal structure in Alexandria, relaxed with GGA-PBE and CuKα.
Kinematic intensities with the Lorentz-polarization factor, no thermal factor.

Atomic structure:
```
data_SmCu4Au4
_cell_length_a 8.250
_cell_length_b 8.250
_cell_length_c 4.722
_cell_angle_alpha 90.00
_cell_angle_beta 90.00
_cell_angle_gamma 90.00
_symmetry_space_group_name_H-M 'I 4/m'
_symmetry_Int_Tables_number 87
_symmetry_space_group_name_Hall '-I 4'
loop_
_atom_site_label
_atom_site_type_symbol
_atom_site_fract_x
_atom_site_fract_y
_atom_site_fract_z
Sm1 Sm 0.000 0.000 0.000
Cu1 Cu 0.106 0.202 0.500
Au1 Au 0.088 0.355 0.000
```

Largest 10 diffraction maxima, by intensity, 10° ≤ 2θ ≤ 80°:
2θ = 44.0°, I = 100, (3 2 1); 2θ = 30.8°, I = 69, (1 2 1); 2θ = 37.9°, I = 51, (3 0 1); 2θ = 34.4°, I = 49, (1 3 0); 2θ = 38.1°, I = 45, (0 0 2); 2θ = 52.3°, I = 30, (1 3 2); 2θ = 72.5°, I = 21, (6 2 0); 2θ = 15.2°, I = 21, (1 1 0); 2θ = 72.9°, I = 20, (3 2 3); 2θ = 76.7°, I = 16, (4 5 1)


> What is the formula in the first record?

GeS4